Theoretical powder diffractogram of CaCeZn2 for Cu Kα (λ = 1.5418 Å), from DFT lattice parameters and positions (PBE).

Cell and atoms:
Cell lengths 5.158, 5.158, 5.158 Å; angles 60.00, 60.00, 60.00 degrees
Sites, in units of the cell vectors:
Ca: 0.000 0.000 0.000
Ce: 0.500 0.500 0.500
Zn: 0.250 0.250 0.250
Zn: 0.750 0.750 0.750

Principal peaks in the range 15° ≤ 2θ ≤ 90°, in order of rising 2θ:
d 4.212, 21.1 deg, I = 20
d 2.579, 34.8 deg, I = 100
d 2.200, 41.0 deg, I = 11
d 1.824, 50.0 deg, I = 17
d 1.674, 54.9 deg, I = 5
d 1.489, 62.4 deg, I = 35
d 1.404, 66.6 deg, I = 4
d 1.290, 73.4 deg, I = 10
d 1.233, 77.4 deg, I = 4
d 1.153, 83.9 deg, I = 15

=====

Theoretical powder diffractogram of Sr6La3Ti3Cu3O20 for Cu Kα (λ = 1.5418 Å), from DFT lattice parameters and positions (PBE).

Cell and atoms:
Cell lengths 3.921, 10.542, 11.719 Å; angles 100.59, 90.00, 100.51 degrees
Sites, in units of the cell vectors:
Sr: 0.000 0.000 0.000
Sr: 0.002 0.005 0.668
Sr: 0.200 0.365 0.721
Sr: 0.790 0.631 0.958
Sr: 0.802 0.639 0.263
Sr: 0.995 0.008 0.342
La: 0.191 0.356 0.074
La: 0.209 0.359 0.395
La: 0.804 0.636 0.603
Ti: 0.388 0.805 0.811
Ti: 0.401 0.815 0.466
Ti: 0.609 0.197 0.866
Cu: 0.387 0.814 0.138
Cu: 0.609 0.189 0.202
Cu: 0.611 0.197 0.534
O: 0.096 0.186 0.877
O: 0.102 0.181 0.203
O: 0.112 0.198 0.532
O: 0.280 0.578 0.100
O: 0.316 0.596 0.441
O: 0.322 0.608 0.767
O: 0.387 0.812 0.973
O: 0.389 0.798 0.631
O: 0.393 0.820 0.302
O: 0.497 0.994 0.830
O: 0.504 0.996 0.506
O: 0.600 0.177 0.037
O: 0.615 0.201 0.709
O: 0.619 0.194 0.364
O: 0.668 0.401 0.234
O: 0.673 0.383 0.917
O: 0.698 0.404 0.560
O: 0.892 0.825 0.138
O: 0.893 0.793 0.468
O: 0.897 0.800 0.790

Principal peaks in the range 15° ≤ 2θ ≤ 90°, in order of rising 2θ:
d 3.394, 26.3 deg, I = 16
d 2.830, 31.6 deg, I = 39
d 2.819, 31.7 deg, I = 100
d 2.767, 32.4 deg, I = 90
d 2.142, 42.2 deg, I = 18
d 2.037, 44.5 deg, I = 16
d 1.960, 46.3 deg, I = 30
d 1.953, 46.5 deg, I = 26
d 1.607, 57.3 deg, I = 29
d 1.384, 67.7 deg, I = 18